Diffraction record for Y3CoBr3. The powder diffraction line list is calculated, not measured: it uses a crystal structure in Alexandria, relaxed with GGA-PBE and λ = 1.5418 Å (Cu Kα).

Atomic structure:
Lattice parameters (Å, degrees): 8.5248 4.0059 11.7402 90.00 92.03 90.00
Space group P2_1/m (No. 11)
One atom of each set of equivalent atoms:
Y (0.1008, 0.2500, 0.3253) [2 per cell]
Y (0.1383, 0.2500, 0.8680) [2 per cell]
Y (0.2707, 0.7500, 0.1033) [2 per cell]
Co (0.0587, 0.2500, 0.0965) [2 per cell]
Br (0.1345, 0.2500, 0.6031) [2 per cell]
Br (0.3449, 0.7500, 0.3577) [2 per cell]
Br (0.4245, 0.7500, 0.8693) [2 per cell]

Top 10 peaks for 5 to 70 degrees two-theta, by angle:
- 7.53 deg, I 405, hkl 0 0 1
- 10.38 deg, I 388, hkl 1 0 0
- 30.48 deg, I 549, hkl 0 0 4
- 30.64 deg, I 1000, hkl 2 1 0
- 31.78 deg, I 144, hkl 2 1 1
- 38.91 deg, I 234, hkl 2 1 3
- 39.85 deg, I 147, hkl 3 0 3
- 43.20 deg, I 388, hkl 2 1 -4
- 45.27 deg, I 263, hkl 0 2 0
- 55.56 deg, I 193, hkl 0 2 4